This entry pairs a crystal structure of Sr6Y3FeCu8O22 with its simulated PXRD pattern. Radiation: λ = 1.5418 Å (Cu Kα). Structure: the GGA+U geometry in Alexandria.
Lines closer than 0.1° are merged.

Most intense lines, 10° ≤ 2θ ≤ 90°, low angle first:
2θ = 32.74°, d = 2.736 Å, intensity 92.4, hkl 3 0 2; 2θ = 33.17°, d = 2.701 Å, intensity 88.1, hkl 3 1 -1; 2θ = 33.32°, d = 2.689 Å, intensity 100.0, hkl 0 1 3; 2θ = 46.74°, d = 1.944 Å, intensity 32.0, hkl 6 0 -2; 2θ = 47.21°, d = 1.925 Å, intensity 22.7, hkl 0 0 6; 2θ = 48.47°, d = 1.878 Å, intensity 28.7, hkl 0 2 0; 2θ = 58.61°, d = 1.575 Å, intensity 37.8, hkl 6 1 1; 2θ = 58.91°, d = 1.568 Å, intensity 38.4, hkl 3 1 5; 2θ = 59.73°, d = 1.548 Å, intensity 32.3, hkl 3 2 2; 2θ = 69.62°, d = 1.351 Å, intensity 17.3, hkl 6 2 -2

Crystal structure
```
Sr6Y3FeCu8O22
1.0
11.662 0.000 0.000
0.000 3.756 0.000
-3.887 0.000 11.552
Sr Y Fe Cu O
6 3 1 8 22
Direct
0.060 0.000 0.181 Sr
0.280 0.000 0.830 Sr
0.394 0.000 0.171 Sr
0.606 0.000 0.829 Sr
0.720 0.000 0.170 Sr
0.940 0.000 0.819 Sr
0.167 0.000 0.501 Y
0.500 0.000 0.500 Y
0.833 0.000 0.499 Y
0.500 0.500 0.000 Fe
0.052 0.500 0.654 Cu
0.163 0.500 0.000 Cu
0.282 0.500 0.345 Cu
0.384 0.500 0.653 Cu
0.616 0.500 0.347 Cu
0.718 0.500 0.655 Cu
0.837 0.500 0.000 Cu
0.948 0.500 0.346 Cu
0.000 0.500 0.000 O
0.040 0.000 0.623 O
0.111 0.500 0.837 O
0.124 0.500 0.371 O
0.208 0.500 0.626 O
0.219 0.500 0.163 O
0.291 0.000 0.377 O
0.322 0.500 0.000 O
0.373 0.000 0.621 O
0.444 0.500 0.832 O
0.457 0.500 0.373 O
0.500 0.000 0.000 O
0.543 0.500 0.627 O
0.556 0.500 0.168 O
0.627 0.000 0.379 O
0.678 0.500 0.000 O
0.709 0.000 0.623 O
0.781 0.500 0.837 O
0.792 0.500 0.374 O
0.876 0.500 0.629 O
0.889 0.500 0.163 O
0.960 0.000 0.377 O
```